Entry 1:
Structure and calculated powder diffractogram of Li3BiS3 (a cell relaxed with GGA-PBE; Cu Kα (λ = 1.5418 Å)).
Kinematic intensities with the Lorentz-polarization factor, no thermal factor.

Peak list (8 most intense, 2θ = 5–70°, in order of falling intensity)
| two_theta | I_rel |
| --- | --- |
| 15.0 | 100.0 |
| 14.3 | 83.7 |
| 20.7 | 77.6 |
| 16.1 | 46.3 |
| 29.7 | 36.4 |
| 33.6 | 30.8 |
| 22.8 | 30.4 |
| 33.7 | 28.9 |

Cell lengths 4.012, 12.429, 12.175 Å; angles 90.00, 103.97, 90.00 degrees
Fractional positions:
Li1 0.011 0.219 0.026
Li2 0.011 0.281 0.526
Li3 0.275 0.030 0.395
Li4 0.275 0.470 0.895
Li5 0.379 0.542 0.381
Li6 0.379 0.958 0.881
Li7 0.621 0.042 0.119
Li8 0.621 0.458 0.619
Li9 0.725 0.530 0.105
Li10 0.725 0.970 0.605
Li11 0.989 0.719 0.474
Li12 0.989 0.781 0.974
Bi1 0.383 0.707 0.751
Bi2 0.383 0.793 0.251
Bi3 0.617 0.207 0.749
Bi4 0.617 0.293 0.249
S1 0.201 0.094 0.592
S2 0.201 0.406 0.092
S3 0.204 0.124 0.212
S4 0.204 0.376 0.712
S5 0.432 0.146 0.931
S6 0.432 0.354 0.431
S7 0.568 0.646 0.569
S8 0.568 0.854 0.069
S9 0.796 0.624 0.288
S10 0.796 0.876 0.788
S11 0.799 0.594 0.908
S12 0.799 0.906 0.408



Entry 2:
Structure and calculated powder diffractogram of Cs2ErAuCl6 (a cell relaxed with GGA-PBE; Cu Kα (λ = 1.5418 Å)).
Kinematic intensities with the Lorentz-polarization factor, no thermal factor.

Peak list (8 most intense, 2θ = 5–70°, in order of falling intensity)
| two_theta | I_rel |
| --- | --- |
| 23.2 | 100.0 |
| 33.1 | 47.8 |
| 40.8 | 46.9 |
| 47.5 | 33.4 |
| 64.4 | 25.4 |
| 53.5 | 22.0 |
| 16.4 | 11.8 |
| 59.1 | 11.4 |

Cell lengths 7.659, 7.659, 7.659 Å; angles 60.00, 60.00, 60.00 degrees
Fractional positions:
Cs1 0.250 0.250 0.250
Cs2 0.750 0.750 0.750
Er1 0.000 0.000 0.000
Au1 0.500 0.500 0.500
Cl1 0.242 0.242 0.758
Cl2 0.242 0.758 0.242
Cl3 0.242 0.758 0.758
Cl4 0.758 0.242 0.242
Cl5 0.758 0.242 0.758
Cl6 0.758 0.758 0.242



Entry 3:
Structure and calculated powder diffractogram of Bi4RuBr2 (a cell relaxed with GGA-PBE; Cu Kα (λ = 1.5418 Å)).
Kinematic intensities with the Lorentz-polarization factor, no thermal factor.

Peak list (8 most intense, 2θ = 5–70°, in order of falling intensity)
| two_theta | I_rel |
| --- | --- |
| 10.5 | 100.0 |
| 10.9 | 88.8 |
| 25.9 | 85.4 |
| 30.7 | 80.7 |
| 30.3 | 45.8 |
| 32.8 | 40.3 |
| 32.4 | 31.1 |
| 35.9 | 26.2 |

Cell lengths 8.894, 8.894, 11.060 Å; angles 126.96, 126.96, 45.51 degrees
Fractional positions:
Bi1 0.055 0.055 0.368
Bi2 0.164 0.164 0.720
Bi3 0.328 0.328 0.431
Bi4 0.414 0.414 0.223
Bi5 0.586 0.586 0.777
Bi6 0.672 0.672 0.569
Bi7 0.836 0.836 0.280
Bi8 0.945 0.945 0.632
Ru1 0.291 0.709 0.500
Ru2 0.709 0.291 0.500
Br1 0.178 0.178 0.070
Br2 0.394 0.394 0.757
Br3 0.606 0.606 0.243
Br4 0.822 0.822 0.930



Entry 4:
Structure and calculated powder diffractogram of SrCu2O3 (a cell relaxed with GGA-PBE; Cu Kα (λ = 1.5418 Å)).
Kinematic intensities with the Lorentz-polarization factor, no thermal factor.

Peak list (8 most intense, 2θ = 5–70°, in order of falling intensity)
| two_theta | I_rel |
| --- | --- |
| 34.7 | 100.0 |
| 29.5 | 74.7 |
| 32.3 | 73.8 |
| 40.1 | 33.3 |
| 45.6 | 33.1 |
| 47.1 | 29.9 |
| 52.5 | 25.8 |
| 25.0 | 25.2 |

Cell lengths 3.975, 11.582, 3.560 Å; angles 90.00, 90.00, 90.00 degrees
Fractional positions:
Sr1 0.000 0.000 0.000
Sr2 0.500 0.500 0.000
Cu1 0.000 0.335 0.500
Cu2 0.000 0.665 0.500
Cu3 0.500 0.165 0.500
Cu4 0.500 0.835 0.500
O1 0.000 0.170 0.500
O2 0.000 0.500 0.500
O3 0.000 0.830 0.500
O4 0.500 0.000 0.500
O5 0.500 0.330 0.500
O6 0.500 0.670 0.500



Entry 5:
Structure and calculated powder diffractogram of YMgMoS4 (a cell relaxed with GGA-PBE; Cu Kα (λ = 1.5418 Å)).
Kinematic intensities with the Lorentz-polarization factor, no thermal factor.

Peak list (8 most intense, 2θ = 5–70°, in order of falling intensity)
| two_theta | I_rel |
| --- | --- |
| 14.2 | 100.0 |
| 47.6 | 81.4 |
| 33.0 | 71.5 |
| 27.4 | 68.5 |
| 33.2 | 34.9 |
| 27.2 | 32.2 |
| 43.3 | 20.3 |
| 43.6 | 17.9 |

Cell lengths 7.649, 7.649, 7.649 Å; angles 120.08, 119.49, 90.37 degrees
Fractional positions:
Y1 0.000 0.000 0.000
Y2 0.500 0.000 0.500
Mg1 0.373 0.623 0.750
Mg2 0.627 0.377 0.250
Mo1 0.000 0.000 0.500
Mo2 0.000 0.500 0.000
S1 0.218 0.746 0.472
S2 0.225 0.254 0.972
S3 0.235 0.232 0.498
S4 0.235 0.737 0.002
S5 0.765 0.263 0.998
S6 0.765 0.768 0.502
S7 0.775 0.746 0.028
S8 0.782 0.254 0.528



Entry 6:
Structure and calculated powder diffractogram of TbZnPd (a cell relaxed with GGA-PBE; Cu Kα (λ = 1.5418 Å)).
Kinematic intensities with the Lorentz-polarization factor, no thermal factor.

Peak list (8 most intense, 2θ = 5–70°, in order of falling intensity)
| two_theta | I_rel |
| --- | --- |
| 33.8 | 100.0 |
| 36.7 | 95.1 |
| 37.3 | 38.9 |
| 42.5 | 37.1 |
| 68.6 | 28.6 |
| 47.5 | 23.9 |
| 44.4 | 22.4 |
| 57.3 | 20.8 |

Cell lengths 7.373, 7.373, 3.827 Å; angles 90.00, 90.00, 120.00 degrees
Fractional positions:
Tb1 0.000 0.593 0.000
Tb2 0.407 0.407 0.000
Tb3 0.593 0.000 0.000
Zn1 0.000 0.252 0.500
Zn2 0.252 0.000 0.500
Zn3 0.748 0.748 0.500
Pd1 0.000 0.000 0.000
Pd2 0.333 0.667 0.500
Pd3 0.667 0.333 0.500